(1)
Sb3Os: simulated powder XRD pattern (Cu Kα X-rays), based on a cell relaxed with GGA-PBE.
Intensities are scaled so that the largest is 100.

Principal peaks in the range 10° ≤ 2θ ≤ 90°, by intensity:
33.06°, intensity 100
40.04°, intensity 48
54.06°, intensity 26
64.84°, intensity 16
68.32°, intensity 14
89.31°, intensity 13
38.51°, intensity 13
37.98°, intensity 12
47.20°, intensity 10
69.36°, intensity 9

Structural model:
a b c (Å): 9.553 9.553 9.553
angles (deg): 20.46 20.46 20.46
Element x y z (fractional)
1 Sb 0.000 0.000 0.000
2 Sb 0.235 0.235 0.235
3 Sb 0.765 0.765 0.765
4 Os 0.500 0.500 0.500

(2)
SbOs5: simulated powder XRD pattern (Cu Kα X-rays), based on a cell relaxed with GGA-PBE.
Intensities are scaled so that the largest is 100.

Principal peaks in the range 10° ≤ 2θ ≤ 90°, by intensity:
41.82°, intensity 100
42.25°, intensity 96
39.83°, intensity 75
36.80°, intensity 61
42.42°, intensity 56
43.27°, intensity 49
67.47°, intensity 33
80.45°, intensity 24
79.64°, intensity 20
65.68°, intensity 20

Structural model:
a b c (Å): 5.265 5.265 6.653
angles (deg): 105.48 105.48 31.33
Element x y z (fractional)
1 Sb 0.000 0.000 0.000
2 Os 0.268 0.268 0.039
3 Os 0.348 0.348 0.653
4 Os 0.635 0.635 0.695
5 Os 0.689 0.689 0.337
6 Os 0.960 0.960 0.389

(3)
Sb2OsSe: simulated powder XRD pattern (Cu Kα X-rays), based on a cell relaxed with GGA-PBE.
Intensities are scaled so that the largest is 100.

Principal peaks in the range 10° ≤ 2θ ≤ 90°, by intensity:
34.71°, intensity 100
41.51°, intensity 41
71.34°, intensity 24
48.32°, intensity 19
40.83°, intensity 19
18.62°, intensity 18
60.15°, intensity 14
57.35°, intensity 11
80.63°, intensity 10
37.76°, intensity 9

Structural model:
a b c (Å): 3.077 3.077 9.529
angles (deg): 90.00 90.00 90.00
Element x y z (fractional)
1 Sb 0.000 0.000 0.000
2 Sb 0.500 0.500 0.306
3 Os 0.500 0.500 0.786
4 Se 0.000 0.000 0.638

(4)
Th3SbOsSe: simulated powder XRD pattern (Cu Kα X-rays), based on a cell relaxed with GGA-PBE.
Intensities are scaled so that the largest is 100.

Principal peaks in the range 10° ≤ 2θ ≤ 90°, by intensity:
30.19°, intensity 100
31.77°, intensity 84
33.57°, intensity 81
41.92°, intensity 72
31.59°, intensity 68
28.44°, intensity 61
35.67°, intensity 46
28.79°, intensity 46
36.38°, intensity 40
35.37°, intensity 36

Structural model:
a b c (Å): 8.148 4.311 10.207
angles (deg): 90.00 112.74 90.00
Element x y z (fractional)
1 Th 0.022 0.250 0.358
2 Th 0.204 0.250 0.984
3 Th 0.418 0.750 0.605
4 Th 0.582 0.250 0.395
5 Th 0.796 0.750 0.016
6 Th 0.978 0.750 0.642
7 Sb 0.239 0.750 0.231
8 Sb 0.761 0.250 0.769
9 Os 0.224 0.250 0.665
10 Os 0.776 0.750 0.335
11 Se 0.373 0.750 0.875
12 Se 0.627 0.250 0.125

Question: Number 1 is which compound?
Answer: Sb3Os

Copy entry 1 word for word.
Sb3Os: simulated powder XRD pattern (Cu Kα X-rays), based on a cell relaxed with GGA-PBE.
Intensities are scaled so that the largest is 100.

Principal peaks in the range 10° ≤ 2θ ≤ 90°, by intensity:
33.06°, intensity 100
40.04°, intensity 48
54.06°, intensity 26
64.84°, intensity 16
68.32°, intensity 14
89.31°, intensity 13
38.51°, intensity 13
37.98°, intensity 12
47.20°, intensity 10
69.36°, intensity 9

Structural model:
a b c (Å): 9.553 9.553 9.553
angles (deg): 20.46 20.46 20.46
Element x y z (fractional)
1 Sb 0.000 0.000 0.000
2 Sb 0.235 0.235 0.235
3 Sb 0.765 0.765 0.765
4 Os 0.500 0.500 0.500